Simulated PXRD pattern of Ti7Fe13O30 for a wavelength of 1.5418 Å, from a structure optimized by DFT (PBE+U).

The 10 most intense peaks (5° ≤ 2θ ≤ 70°), sorted by position:
2theta  d_spacing  intensity
23.7  3.756  29
32.4  2.760  90
32.6  2.743  44
34.9  2.574  100
39.9  2.258  20
48.5  1.878  35
52.8  1.735  25
52.9  1.730  24
53.1  1.723  24
62.5  1.486  45

Crystal structure
abc: 5.1522 5.5455 21.2772
angles: 85.24 89.98 62.33
Positions (direct):
Ti: 0.0000 0.0000 0.0000
Ti: 0.0821 0.8172 0.4424
Ti: 0.2136 0.6077 0.7423
Ti: 0.4021 0.2013 0.1996
Ti: 0.6924 0.6246 0.2449
Ti: 0.7783 0.4219 0.5402
Ti: 0.8984 0.2286 0.8409
Fe: 0.1022 0.8032 0.3045
Fe: 0.2057 0.5986 0.6004
Fe: 0.2885 0.4268 0.0402
Fe: 0.2980 0.3875 0.9022
Fe: 0.3908 0.2120 0.3470
Fe: 0.4880 0.0093 0.4994
Fe: 0.4978 0.0035 0.6402
Fe: 0.5896 0.8124 0.9398
Fe: 0.6022 0.8096 0.7986
Fe: 0.6946 0.6074 0.0973
Fe: 0.7981 0.3896 0.4007
Fe: 0.9179 0.1874 0.6983
Fe: 0.9884 0.0181 0.1419
O: 0.0225 0.3246 0.6176
O: 0.0365 0.1809 0.4847
O: 0.0609 0.5873 0.3832
O: 0.1126 0.4417 0.2547
O: 0.1161 0.0478 0.3597
O: 0.1690 0.3025 0.1247
O: 0.2411 0.7748 0.0819
O: 0.2465 0.9128 0.2203
O: 0.2554 0.1603 0.9869
O: 0.2985 0.0532 0.8641
O: 0.3285 0.6526 0.9639
O: 0.3389 0.8989 0.7220
O: 0.4377 0.4924 0.8186
O: 0.4662 0.7584 0.5801
O: 0.4719 0.3688 0.6874
O: 0.4965 0.6488 0.4591
O: 0.5447 0.2622 0.5626
O: 0.5491 0.5222 0.3139
O: 0.6501 0.3730 0.1845
O: 0.6619 0.0962 0.4215
O: 0.6745 0.9540 0.2779
O: 0.7155 0.8666 0.1620
O: 0.7305 0.2339 0.0572
O: 0.7662 0.1063 0.9226
O: 0.8484 0.7089 0.0173
O: 0.8511 0.5685 0.8823
O: 0.8791 0.9884 0.7864
O: 0.9447 0.8367 0.6636
O: 0.9569 0.4371 0.7605
O: 0.9695 0.6960 0.5191

---

Simulated PXRD pattern of Ti7Fe13O30 for a wavelength of 1.5418 Å, from a structure optimized by DFT (PBE+U).

The 10 most intense peaks (5° ≤ 2θ ≤ 70°), sorted by position:
2theta  d_spacing  intensity
23.7  3.762  32
32.4  2.764  100
32.5  2.757  49
34.7  2.584  73
34.9  2.573  35
48.4  1.881  38
52.8  1.733  25
52.9  1.730  25
60.9  1.522  24
62.4  1.488  32

Crystal structure
abc: 5.1456 5.5502 21.4091
angles: 94.75 90.04 117.46
Positions (direct):
Ti: 0.0000 0.0000 0.0000
Ti: 0.0920 0.2037 0.2982
Ti: 0.5027 0.0045 0.4986
Ti: 0.5981 0.2114 0.8064
Ti: 0.7098 0.4077 0.1054
Ti: 0.8057 0.6012 0.3992
Ti: 0.9034 0.8028 0.7013
Fe: 0.0026 0.9912 0.1411
Fe: 0.0974 0.1919 0.4427
Fe: 0.1925 0.3868 0.7408
Fe: 0.1970 0.4009 0.5988
Fe: 0.2923 0.5944 0.8997
Fe: 0.2958 0.5823 0.0399
Fe: 0.3864 0.7933 0.3412
Fe: 0.3930 0.7927 0.1988
Fe: 0.4936 0.9936 0.6416
Fe: 0.5895 0.1798 0.9444
Fe: 0.6907 0.3828 0.2428
Fe: 0.7972 0.5944 0.5415
Fe: 0.8917 0.7951 0.8418
O: 0.0373 0.4370 0.3798
O: 0.0471 0.7011 0.6297
O: 0.0982 0.9662 0.3577
O: 0.0999 0.8340 0.4787
O: 0.1173 0.5408 0.2605
O: 0.1369 0.6791 0.1148
O: 0.2442 0.8330 0.9824
O: 0.2477 0.1074 0.2277
O: 0.2994 0.2489 0.0779
O: 0.3199 0.3362 0.9613
O: 0.3395 0.9618 0.8554
O: 0.3505 0.0955 0.7236
O: 0.4452 0.4867 0.8165
O: 0.4486 0.2263 0.5826
O: 0.4910 0.6385 0.6826
O: 0.5099 0.7628 0.5603
O: 0.5562 0.3577 0.4554
O: 0.5610 0.4885 0.3247
O: 0.6195 0.8745 0.4277
O: 0.6694 0.6129 0.1786
O: 0.6939 0.0399 0.2787
O: 0.7162 0.1541 0.1549
O: 0.7281 0.7610 0.0540
O: 0.7551 0.9005 0.9274
O: 0.8424 0.2895 0.0227
O: 0.8445 0.4144 0.8807
O: 0.8523 0.0551 0.7778
O: 0.9303 0.1546 0.6600
O: 0.9365 0.5672 0.7551
O: 0.9411 0.2827 0.5252

---

Simulated PXRD pattern of Ti3Fe7O15 for a wavelength of 1.5418 Å, from a structure optimized by DFT (PBE+U).

The 10 most intense peaks (5° ≤ 2θ ≤ 70°), sorted by position:
2theta  d_spacing  intensity
23.6  3.766  46
32.4  2.761  50
32.6  2.744  100
34.7  2.588  76
34.8  2.577  37
48.3  1.883  60
52.8  1.734  26
53.1  1.726  25
61.0  1.519  34
62.3  1.490  33

Crystal structure
abc: 5.5120 5.5120 21.4837
angles: 94.43 94.43 55.75
Positions (direct):
Ti: 0.2455 0.7545 0.5000
Ti: 0.3585 0.8512 0.8054
Ti: 0.4502 0.9552 0.1074
Ti: 0.7545 0.2455 0.0000
Ti: 0.8512 0.3585 0.3054
Ti: 0.9552 0.4502 0.6074
Fe: 0.0490 0.5465 0.9046
Fe: 0.0629 0.5647 0.7643
Fe: 0.1449 0.6483 0.2041
Fe: 0.1598 0.6606 0.0627
Fe: 0.2524 0.7504 0.3610
Fe: 0.3477 0.8512 0.6617
Fe: 0.4614 0.9512 0.9644
Fe: 0.5465 0.0490 0.4046
Fe: 0.5647 0.0629 0.2643
Fe: 0.6483 0.1449 0.7041
Fe: 0.6606 0.1598 0.5627
Fe: 0.7504 0.2524 0.8610
Fe: 0.8512 0.3477 0.1617
Fe: 0.9512 0.4614 0.4644
O: 0.0040 0.2475 0.9488
O: 0.0061 0.1046 0.0758
O: 0.0494 0.8049 0.8453
O: 0.0686 0.8995 0.7266
O: 0.1046 0.0061 0.5758
O: 0.1167 0.2626 0.8215
O: 0.1890 0.3288 0.6806
O: 0.2208 0.4221 0.5524
O: 0.2475 0.0040 0.4488
O: 0.2626 0.1167 0.3215
O: 0.3003 0.4699 0.4292
O: 0.3288 0.1890 0.1806
O: 0.3966 0.6530 0.1433
O: 0.4160 0.4990 0.2779
O: 0.4221 0.2208 0.0524
O: 0.4699 0.3003 0.9292
O: 0.4991 0.4160 0.7779
O: 0.5100 0.6535 0.0265
O: 0.6019 0.7197 0.8767
O: 0.6239 0.8255 0.7482
O: 0.6530 0.3966 0.6433
O: 0.6535 0.5100 0.5265
O: 0.7080 0.8627 0.6217
O: 0.7197 0.6019 0.3767
O: 0.8043 0.9207 0.4830
O: 0.8049 0.0494 0.3453
O: 0.8255 0.6239 0.2482
O: 0.8627 0.7080 0.1217
O: 0.8995 0.0686 0.2266
O: 0.9207 0.8043 0.9830

---

Simulated PXRD pattern of Ti12Fe5O32 for a wavelength of 1.5418 Å, from a structure optimized by DFT (PBE+U).

The 10 most intense peaks (5° ≤ 2θ ≤ 70°), sorted by position:
2theta  d_spacing  intensity
14.8  5.969  26
21.0  4.221  22
23.6  3.776  33
25.9  3.445  28
29.9  2.985  29
35.3  2.545  100
42.8  2.111  30
56.6  1.625  34
62.2  1.494  25
62.3  1.491  24

Crystal structure
abc: 8.4423 8.4423 8.4423
angles: 90.09 90.09 90.09
Positions (direct):
Ti: 0.0091 0.4783 0.5125
Ti: 0.0184 0.7580 0.7735
Ti: 0.2434 0.2599 0.9836
Ti: 0.2599 0.9836 0.2434
Ti: 0.2627 0.7502 0.4916
Ti: 0.4783 0.5125 0.0091
Ti: 0.4916 0.2627 0.7502
Ti: 0.5125 0.0091 0.4783
Ti: 0.7502 0.4916 0.2627
Ti: 0.7580 0.7735 0.0184
Ti: 0.7735 0.0184 0.7580
Ti: 0.9836 0.2434 0.2599
Fe: 0.3691 0.3691 0.3691
Fe: 0.3846 0.8883 0.8728
Fe: 0.6331 0.6331 0.6331
Fe: 0.8728 0.3846 0.8883
Fe: 0.8883 0.8728 0.3846
O: 0.0093 0.2696 0.4861
O: 0.0164 0.2716 0.0193
O: 0.0193 0.0164 0.2716
O: 0.0219 0.7405 0.5165
O: 0.2388 0.2388 0.2388
O: 0.2405 0.5144 0.4872
O: 0.2413 0.7698 0.7427
O: 0.2475 0.7701 0.2718
O: 0.2696 0.4861 0.0093
O: 0.2716 0.0193 0.0164
O: 0.2718 0.2475 0.7701
O: 0.2786 0.9798 0.4831
O: 0.4831 0.2786 0.9798
O: 0.4861 0.0093 0.2696
O: 0.4872 0.2405 0.5144
O: 0.4884 0.7627 0.5210
O: 0.5144 0.4872 0.2405
O: 0.5165 0.0219 0.7405
O: 0.5159 0.7378 0.9799
O: 0.5210 0.4884 0.7627
O: 0.7378 0.9799 0.5159
O: 0.7405 0.5165 0.0219
O: 0.7427 0.2413 0.7698
O: 0.7472 0.9819 0.9779
O: 0.7627 0.5210 0.4884
O: 0.7625 0.7625 0.7625
O: 0.7701 0.2718 0.2475
O: 0.7698 0.7427 0.2413
O: 0.9779 0.7472 0.9819
O: 0.9798 0.4831 0.2786
O: 0.9799 0.5159 0.7378
O: 0.9819 0.9779 0.7472

---

Simulated PXRD pattern of Ti3Fe7O15 for a wavelength of 1.5418 Å, from a structure optimized by DFT (PBE+U).

The 10 most intense peaks (5° ≤ 2θ ≤ 70°), sorted by position:
2theta  d_spacing  intensity
32.3  2.773  70
32.4  2.760  68
32.7  2.738  64
34.6  2.592  52
34.8  2.581  100
47.8  1.902  28
48.3  1.885  27
48.7  1.870  26
60.5  1.531  24
62.1  1.494  46

Crystal structure
abc: 5.1592 5.5445 21.3743
angles: 84.54 89.68 62.58
Positions (direct):
Ti: 0.0000 0.0000 0.0000
Ti: 0.0128 0.0246 0.1400
Ti: 0.1023 0.8239 0.4391
Ti: 0.4025 0.2231 0.3379
Ti: 0.5026 0.0296 0.6390
Ti: 0.6192 0.7937 0.8014
Fe: 0.1104 0.8086 0.2991
Fe: 0.1998 0.6181 0.7396
Fe: 0.2079 0.6107 0.5978
Fe: 0.3040 0.4131 0.0408
Fe: 0.3079 0.4060 0.8994
Fe: 0.4121 0.2047 0.1984
Fe: 0.5083 0.0047 0.4983
Fe: 0.5974 0.8210 0.9405
Fe: 0.7024 0.6153 0.2391
Fe: 0.7091 0.6140 0.0981
Fe: 0.8069 0.4171 0.5412
Fe: 0.8081 0.4126 0.3987
Fe: 0.9046 0.2048 0.7002
Fe: 0.9053 0.2146 0.8417
O: 0.0560 0.2970 0.6204
O: 0.0750 0.1673 0.4843
O: 0.0989 0.5784 0.3870
O: 0.1307 0.4326 0.2614
O: 0.1650 0.3025 0.1226
O: 0.1684 0.0523 0.3634
O: 0.2510 0.7967 0.0815
O: 0.2525 0.1607 0.9742
O: 0.2626 0.9051 0.2138
O: 0.3351 0.6532 0.9573
O: 0.3662 0.0450 0.8530
O: 0.3677 0.9104 0.7191
O: 0.4366 0.5315 0.8191
O: 0.4761 0.3680 0.6826
O: 0.4984 0.7783 0.5857
O: 0.5048 0.6603 0.4646
O: 0.5496 0.2402 0.5597
O: 0.5635 0.4969 0.3163
O: 0.6462 0.1017 0.4169
O: 0.6582 0.9737 0.2855
O: 0.6767 0.3710 0.1801
O: 0.7493 0.1242 0.9243
O: 0.7594 0.2329 0.0562
O: 0.7594 0.8644 0.1640
O: 0.8458 0.7243 0.0159
O: 0.8638 0.9600 0.7780
O: 0.8782 0.5894 0.8782
O: 0.9087 0.8645 0.6602
O: 0.9336 0.4526 0.7571
O: 0.9542 0.7122 0.5137

---

Simulated PXRD pattern of Ti3Fe7O15 for a wavelength of 1.5418 Å, from a structure optimized by DFT (PBE+U).

The 10 most intense peaks (5° ≤ 2θ ≤ 70°), sorted by position:
2theta  d_spacing  intensity
23.6  3.764  29
32.6  2.750  44
32.7  2.741  87
34.8  2.579  100
48.4  1.882  35
48.6  1.874  17
53.0  1.727  35
53.3  1.720  23
60.9  1.521  22
62.4  1.489  45

Crystal structure
abc: 5.5011 8.9298 11.7142
angles: 75.15 81.52 74.57
Positions (direct):
Ti: 0.0000 0.0000 0.0000
Ti: 0.0085 0.5026 0.4983
Ti: 0.2054 0.9015 0.7012
Ti: 0.3964 0.3015 0.8978
Ti: 0.6008 0.6953 0.1027
Ti: 0.8026 0.1030 0.3073
Fe: 0.1011 0.6576 0.9763
Fe: 0.1125 0.1572 0.4729
Fe: 0.2042 0.3995 0.2015
Fe: 0.3033 0.0594 0.1771
Fe: 0.3118 0.5574 0.6740
Fe: 0.4106 0.7964 0.4010
Fe: 0.4969 0.9595 0.8770
Fe: 0.4975 0.4602 0.3794
Fe: 0.6046 0.2018 0.6010
Fe: 0.6989 0.8584 0.5783
Fe: 0.7096 0.3598 0.0725
Fe: 0.8060 0.6035 0.7978
Fe: 0.8979 0.2574 0.7738
Fe: 0.9088 0.7592 0.2759
O: 0.9996 0.2559 0.1856
O: 0.1125 0.7129 0.7987
O: 0.1163 0.3872 0.8109
O: 0.1283 0.0367 0.8140
O: 0.1690 0.0063 0.3522
O: 0.1715 0.3701 0.3728
O: 0.1868 0.6653 0.3905
O: 0.3146 0.1094 0.9972
O: 0.3204 0.7944 0.0027
O: 0.3217 0.4337 0.0098
O: 0.3608 0.4056 0.5642
O: 0.3847 0.7721 0.5757
O: 0.3995 0.0562 0.5883
O: 0.4980 0.5186 0.1921
O: 0.5220 0.1906 0.2068
O: 0.5248 0.8349 0.2091
O: 0.5704 0.8125 0.7589
O: 0.5884 0.1658 0.7766
O: 0.6020 0.4523 0.7912
O: 0.7055 0.9159 0.3982
O: 0.7193 0.5968 0.4121
O: 0.7231 0.2253 0.4161
O: 0.7819 0.1996 0.9594
O: 0.7851 0.5742 0.9722
O: 0.8058 0.8670 0.9816
O: 0.9041 0.3140 0.5994
O: 0.9167 0.6352 0.6149
O: 0.9226 0.9888 0.6094
O: 0.9661 0.6124 0.1536
O: 0.9897 0.9691 0.1637